# BaSr4Zn
Simulated powder XRD pattern, Cu Kα (weighted mean of Kα1 and Kα2). Input: a crystal structure in Alexandria, relaxed with PBE.
Peak positions follow from Bragg's law for the DFT cell and can differ from measured ones.

Peak list (10 most intense, 2θ from 15° to 90°, sorted by position)
24.1 deg, I 39.1, (1 0 2)
26.4 deg, I 23.1, (0 0 5)
26.9 deg, I 100.0, (1 0 3)
30.8 deg, I 58.4, (1 1 0)
41.0 deg, I 28.1, (1 1 5)
43.5 deg, I 15.1, (1 0 7)
44.2 deg, I 21.4, (2 0 0)
52.2 deg, I 13.8, (2 0 5)
52.5 deg, I 30.7, (2 1 3)
63.7 deg, I 22.1, (1 1 10)

Cell lengths 4.102, 4.102, 16.902 Å; angles 90.00, 90.00, 90.00 degrees
Positions (direct):
Ba: 0.000 0.000 0.000
Sr: 0.000 0.000 0.390
Sr: 0.000 0.000 0.610
Sr: 0.500 0.500 0.200
Sr: 0.500 0.500 0.800
Zn: 0.500 0.500 0.500

=====

# Ba2SrZr
Simulated powder XRD pattern, Cu Kα (weighted mean of Kα1 and Kα2). Input: a crystal structure in Alexandria, relaxed with PBE.
Peak positions follow from Bragg's law for the DFT cell and can differ from measured ones.

Peak list (10 most intense, 2θ from 15° to 90°, sorted by position)
27.3 deg, I 23.7, (0 0 12)
27.8 deg, I 100.0, (1 0 4)
32.1 deg, I 59.7, (0 1 8)
45.7 deg, I 11.8, (1 0 16)
46.4 deg, I 25.4, (1 1 0)
54.7 deg, I 20.0, (1 1 12)
55.0 deg, I 14.6, (0 2 4)
57.5 deg, I 11.0, (2 0 8)
74.7 deg, I 11.8, (2 1 4)
76.9 deg, I 9.4, (1 2 8)

Cell lengths 3.915, 3.915, 39.199 Å; angles 90.00, 90.00, 120.00 degrees
Positions (direct):
Ba: 0.000 0.000 0.239
Ba: 0.000 0.000 0.761
Ba: 0.333 0.667 0.428
Ba: 0.333 0.667 0.906
Ba: 0.667 0.333 0.094
Ba: 0.667 0.333 0.572
Sr: 0.000 0.000 0.000
Sr: 0.333 0.667 0.667
Sr: 0.667 0.333 0.333
Zr: 0.000 0.000 0.500
Zr: 0.333 0.667 0.167
Zr: 0.667 0.333 0.833